No. 1
Simulated XRD peak list of Tl2BiMo for Cu Kα X-rays, from a GGA-PBE-relaxed structure.
Kinematic intensities with the Lorentz-polarization factor, no thermal factor.

Main lines, low angle first (10° ≤ 2θ ≤ 90°):
2θ (°), I (rel.)
30.11, 1000
31.09, 454
37.51, 560
44.59, 680
49.49, 257
64.85, 283
68.83, 192
69.37, 185
73.19, 163
81.61, 185

```
Tl2BiMo
1.0
4.344 0.000 0.000
0.000 4.344 0.000
0.000 0.000 23.012
Tl Bi Mo
8 4 4
Direct
0.240 0.250 0.125 Tl
0.250 0.740 0.375 Tl
0.250 0.760 0.875 Tl
0.260 0.250 0.625 Tl
0.740 0.750 0.625 Tl
0.750 0.240 0.875 Tl
0.750 0.260 0.375 Tl
0.760 0.750 0.125 Tl
0.000 0.000 0.500 Bi
0.000 0.500 0.750 Bi
0.500 0.000 0.250 Bi
0.500 0.500 0.000 Bi
0.000 0.000 0.000 Mo
0.000 0.500 0.250 Mo
0.500 0.000 0.750 Mo
0.500 0.500 0.500 Mo
```

=====

No. 2
Simulated XRD peak list of Sm4Tl2C for Cu Kα X-rays, from a GGA-PBE-relaxed structure.
Kinematic intensities with the Lorentz-polarization factor, no thermal factor.

Main lines, low angle first (10° ≤ 2θ ≤ 90°):
2θ (°), I (rel.)
28.13, 775
31.43, 905
31.62, 705
32.68, 1000
33.00, 708
33.56, 498
40.20, 296
40.86, 318
49.53, 273
60.80, 301

```
Sm4Tl2C
1.0
6.429 0.000 0.000
0.000 3.681 0.000
-1.997 0.000 8.220
Sm Tl C
4 2 1
Direct
0.134 0.000 0.314 Sm
0.248 0.500 0.982 Sm
0.752 0.500 0.018 Sm
0.866 0.000 0.686 Sm
0.396 0.500 0.652 Tl
0.604 0.500 0.348 Tl
0.000 0.000 0.000 C
```

=====

No. 3
Simulated XRD peak list of RbH3Br6 for Cu Kα X-rays, from a GGA-PBE-relaxed structure.
Kinematic intensities with the Lorentz-polarization factor, no thermal factor.

Main lines, low angle first (10° ≤ 2θ ≤ 90°):
2θ (°), I (rel.)
12.15, 869
19.66, 846
23.18, 1000
24.44, 418
29.02, 792
31.09, 799
32.52, 766
33.93, 557
38.29, 317
54.04, 560

```
RbH3Br6
1.0
7.284 4.206 2.155
-7.284 4.206 2.155
0.000 -8.411 2.155
Rb H Br
1 3 6
Direct
0.000 0.000 0.000 Rb
0.403 0.841 0.841 H
0.841 0.403 0.841 H
0.841 0.841 0.403 H
0.035 0.035 0.464 Br
0.035 0.464 0.035 Br
0.359 0.574 0.574 Br
0.464 0.035 0.035 Br
0.574 0.359 0.574 Br
0.574 0.574 0.359 Br
```

=====

No. 4
Simulated XRD peak list of La5Nd4Er4 for Cu Kα X-rays, from a GGA-PBE-relaxed structure.
Kinematic intensities with the Lorentz-polarization factor, no thermal factor.

Main lines, low angle first (10° ≤ 2θ ≤ 90°):
2θ (°), I (rel.)
29.94, 1000
34.65, 340
34.83, 168
49.81, 122
49.94, 242
59.21, 288
59.45, 144
62.21, 124
80.95, 59
81.16, 117

```
La5Nd4Er4
1.0
-6.601 6.601 2.576
6.601 -6.601 2.576
6.601 6.601 -2.576
La Nd Er
5 4 4
Direct
0.000 0.000 0.000 La
0.309 0.541 0.850 La
0.459 0.309 0.767 La
0.541 0.691 0.233 La
0.691 0.459 0.150 La
0.077 0.384 0.461 Nd
0.384 0.923 0.307 Nd
0.616 0.077 0.693 Nd
0.923 0.616 0.539 Nd
0.155 0.767 0.922 Er
0.233 0.155 0.388 Er
0.767 0.845 0.612 Er
0.845 0.233 0.078 Er
```